# HfZn2Pd3
Calculated PXRD pattern, CuKα. Input: a PBE-relaxed structure.
No peak broadening, texture or thermal motion is included.

The 10 most intense peaks (5° ≤ 2θ ≤ 70°), sorted by position:
two_theta	intensity	hkl
8.0	4	0 0 1
23.0	3	2 0 0
24.4	13	2 0 1
33.7	5	2 0 3
40.3	100	2 0 4
40.4	100	3 1 0
47.6	3	1 1 5
47.7	3	4 0 -1
58.3	11	4 0 -4
58.5	22	2 2 4

Cell and atoms:
```
data_HfZn2Pd3
_chemical_formula_sum 'Hf4 Zn8 Pd12'
_cell_length_a 7.7336
_cell_length_b 4.4579
_cell_length_c 10.9838
_cell_angle_alpha 90.00
_cell_angle_beta 90.12
_cell_angle_gamma 90.00
_symmetry_space_group_name_H-M 'C 1 2/m 1'
_symmetry_Int_Tables_number 12
_symmetry_space_group_name_Hall '-C 2y'
loop_
_atom_site_label
_atom_site_type_symbol
_atom_site_fract_x
_atom_site_fract_y
_atom_site_fract_z
_atom_site_occupancy
Hf1 Hf 0.1668 0.0000 0.1734 1
Zn1 Zn 0.0000 0.5000 0.0000 1
Zn2 Zn 0.0000 0.5000 0.5000 1
Zn3 Zn 0.1665 0.0000 0.6645 1
Pd1 Pd 0.0002 0.5000 0.2632 1
Pd2 Pd 0.1668 0.0000 0.4201 1
Pd3 Pd 0.1666 0.0000 0.9180 1
```

---

# Sc5Co2Bi
Calculated PXRD pattern, CuKα. Input: a PBE-relaxed structure.
No peak broadening, texture or thermal motion is included.

The 10 most intense peaks (5° ≤ 2θ ≤ 70°), sorted by position:
two_theta	intensity	hkl
18.2	36	1 1 0
22.2	100	1 1 2
28.9	34	2 0 2
31.4	55	1 1 4
34.9	50	2 1 3
36.6	64	2 0 4
36.9	26	2 2 0
41.4	73	3 1 0
49.2	28	3 1 4
68.7	31	3 1 8

Cell and atoms:
```
data_Sc5Co2Bi
_chemical_formula_sum 'Sc20 Co8 Bi4'
_cell_length_a 6.8928
_cell_length_b 6.8928
_cell_length_c 14.0289
_cell_angle_alpha 90.00
_cell_angle_beta 90.00
_cell_angle_gamma 90.00
_symmetry_space_group_name_H-M 'I 4/m c m'
_symmetry_Int_Tables_number 140
_symmetry_space_group_name_Hall '-I 4 2c'
loop_
_atom_site_label
_atom_site_type_symbol
_atom_site_fract_x
_atom_site_fract_y
_atom_site_fract_z
_atom_site_occupancy
Sc1 Sc 0.0000 0.0000 0.0000 1
Sc2 Sc 0.1639 0.3361 0.1257 1
Co1 Co 0.1338 0.3662 0.5000 1
Bi1 Bi 0.0000 0.0000 0.2500 1
```